The following is a calculated powder diffraction line list of YIrO5. It was derived from a cell relaxed with PBE, using Cu Kα (weighted mean of Kα1 and Kα2).

Top 10 peaks for 2θ from 10° to 90°, by intensity:
27.5°, d = 3.240 Å, I = 100
21.6°, d = 4.113 Å, I = 98
35.3°, d = 2.545 Å, I = 63
27.3°, d = 3.261 Å, I = 47
17.4°, d = 5.111 Å, I = 43
52.6°, d = 1.739 Å, I = 30
35.1°, d = 2.555 Å, I = 29
48.5°, d = 1.879 Å, I = 24
44.0°, d = 2.056 Å, I = 20
26.2°, d = 3.399 Å, I = 18

Cell and atoms:
```
data_YIrO5
_chemical_formula_sum 'Y4 Ir4 O20'
_cell_length_a 9.023
_cell_length_b 6.522
_cell_length_c 7.465
_cell_angle_alpha 90.00
_cell_angle_beta 114.28
_cell_angle_gamma 90.00
_space_group_name_H-M_alt 'C 1 2/c 1'
_space_group_IT_number 15
loop_
_space_group_symop_operation_xyz
'x,y,z'
'-x,-y,-z'
'-x,y,-z+1/2'
'x,-y,z+1/2'
'x+1/2,y+1/2,z'
'-x+1/2,-y+1/2,-z'
'-x+1/2,y+1/2,-z+1/2'
'x+1/2,-y+1/2,z+1/2'
loop_
_atom_site_label
_atom_site_type_symbol
_atom_site_fract_x
_atom_site_fract_y
_atom_site_fract_z
Y1 Y 0.000 0.041 0.250
Ir1 Ir 0.000 0.500 0.000
O1 O 0.000 0.399 0.250
O2 O 0.013 0.203 0.968
O3 O 0.219 0.483 0.613
```